# Ce2Pm2Pb5
Simulated powder XRD pattern, copper Kα. Input: the PBE geometry in Alexandria.
No peak broadening, texture or thermal motion is included.

Crystal structure
a b c (Å): 9.3746 9.3746 8.3596
angles (deg): 90.00 90.00 53.04
Atoms (fractional coordinates):
Ce1 0.1910 0.1910 0.0000
Ce2 0.3090 0.3090 0.5000
Ce3 0.6910 0.6910 0.5000
Ce4 0.8090 0.8090 0.0000
Pm1 0.1649 0.8351 0.6647
Pm2 0.3351 0.6649 0.1647
Pm3 0.6649 0.3351 0.8353
Pm4 0.8351 0.1649 0.3353
Pb1 0.0000 0.0000 0.0000
Pb2 0.0020 0.2708 0.6336
Pb3 0.2292 0.4980 0.8664
Pb4 0.2708 0.0020 0.3664
Pb5 0.4980 0.2292 0.1336
Pb6 0.5000 0.5000 0.5000
Pb7 0.5020 0.7708 0.8664
Pb8 0.7292 0.9980 0.6336
Pb9 0.7708 0.5020 0.1336
Pb10 0.9980 0.7292 0.3664

The 10 most intense peaks (2θ from 10° to 90°), in order of rising 2θ:
23.77°, d = 3.743 Å, intensity 20; 28.72°, d = 3.109 Å, intensity 76; 30.21°, d = 2.958 Å, intensity 24; 30.63°, d = 2.918 Å, intensity 36; 32.04°, d = 2.794 Å, intensity 97; 34.32°, d = 2.613 Å, intensity 100; 48.62°, d = 1.873 Å, intensity 22; 48.69°, d = 1.870 Å, intensity 19; 51.45°, d = 1.776 Å, intensity 24; 62.87°, d = 1.478 Å, intensity 23